1.
Sc5Ga3: theoretical PXRD pattern (λ = 1.5418 Å (Cu Kα)), based on DFT lattice parameters and positions (PBE).
Kinematic intensities with the Lorentz-polarization factor, no thermal factor.

Peak list (8 most intense, 10° ≤ 2θ ≤ 90°, low angle first)
2θ/deg  intensity
33.76  41
36.52  67
37.17  58
37.61  100
40.75  28
47.23  22
47.60  25
69.78  24

Crystal structure
abc: 8.234 8.234 8.234
angles: 96.14 96.14 141.82
Sites, in units of the cell vectors:
Sc1 0.083 0.783 0.865
Sc2 0.217 0.083 0.300
Sc3 0.250 0.750 0.500
Sc4 0.283 0.583 0.865
Sc5 0.417 0.283 0.700
Sc6 0.583 0.717 0.300
Sc7 0.717 0.417 0.135
Sc8 0.750 0.250 0.500
Sc9 0.783 0.917 0.700
Sc10 0.917 0.217 0.135
Ga1 0.161 0.339 0.500
Ga2 0.250 0.250 0.000
Ga3 0.339 0.839 0.178
Ga4 0.661 0.161 0.822
Ga5 0.750 0.750 0.000
Ga6 0.839 0.661 0.500

2.
Tb7Pm2Dy4: theoretical PXRD pattern (λ = 1.5418 Å (Cu Kα)), based on DFT lattice parameters and positions (PBE).
Kinematic intensities with the Lorentz-polarization factor, no thermal factor.

Peak list (8 most intense, 10° ≤ 2θ ≤ 90°, low angle first)
2θ/deg  intensity
26.80  21
29.33  15
30.10  46
32.33  100
35.77  31
50.94  18
52.01  30
62.60  17

Crystal structure
abc: 6.091 6.091 13.306
angles: 90.00 90.00 120.00
Sites, in units of the cell vectors:
Tb1 0.000 0.000 0.000
Tb2 0.000 0.357 0.218
Tb3 0.000 0.643 0.782
Tb4 0.357 0.000 0.218
Tb5 0.357 0.357 0.782
Tb6 0.643 0.000 0.782
Tb7 0.643 0.643 0.218
Pm1 0.333 0.667 0.000
Pm2 0.667 0.333 0.000
Dy1 0.000 0.000 0.394
Dy2 0.000 0.000 0.606
Dy3 0.333 0.667 0.500
Dy4 0.667 0.333 0.500

3.
CuGe: theoretical PXRD pattern (λ = 1.5418 Å (Cu Kα)), based on DFT lattice parameters and positions (PBE).
Kinematic intensities with the Lorentz-polarization factor, no thermal factor.

Peak list (8 most intense, 10° ≤ 2θ ≤ 90°, low angle first)
2θ/deg  intensity
35.54  93
36.22  100
39.35  53
43.91  38
47.14  31
51.15  23
51.65  70
77.28  16

Crystal structure
abc: 6.307 6.029 5.008
angles: 68.99 63.17 47.84
Sites, in units of the cell vectors:
Cu1 0.063 0.687 0.687
Cu2 0.313 0.937 0.937
Cu3 0.687 0.063 0.063
Cu4 0.937 0.313 0.313
Ge1 0.178 0.572 0.178
Ge2 0.428 0.822 0.428
Ge3 0.572 0.178 0.572
Ge4 0.822 0.428 0.822

4.
TlCd9Ga3: theoretical PXRD pattern (λ = 1.5418 Å (Cu Kα)), based on DFT lattice parameters and positions (PBE).
Kinematic intensities with the Lorentz-polarization factor, no thermal factor.

Peak list (8 most intense, 10° ≤ 2θ ≤ 90°, low angle first)
2θ/deg  intensity
30.37  28
30.49  31
30.65  35
35.09  68
35.20  37
35.41  100
35.53  34
39.55  35

Crystal structure
abc: 7.821 7.821 7.643
angles: 97.97 97.97 135.97
Sites, in units of the cell vectors:
Tl1 0.000 0.000 0.000
Cd1 0.000 0.000 0.500
Cd2 0.000 0.351 0.351
Cd3 0.000 0.649 0.649
Cd4 0.291 0.507 0.785
Cd5 0.351 0.000 0.351
Cd6 0.493 0.709 0.215
Cd7 0.507 0.291 0.785
Cd8 0.649 0.000 0.649
Cd9 0.709 0.493 0.215
Ga1 0.000 0.500 0.000
Ga2 0.500 0.000 0.000
Ga3 0.500 0.500 0.500

5.
Rb3Dy3ZrTe8: theoretical PXRD pattern (λ = 1.5418 Å (Cu Kα)), based on DFT lattice parameters and positions (PBE).
Kinematic intensities with the Lorentz-polarization factor, no thermal factor.

Peak list (8 most intense, 10° ≤ 2θ ≤ 90°, low angle first)
2θ/deg  intensity
10.09  45
27.03  100
33.48  20
36.07  33
40.99  37
44.74  14
49.79  18
66.39  15

Crystal structure
abc: 10.135 10.135 10.135
angles: 51.51 51.51 51.51
Sites, in units of the cell vectors:
Rb1 0.000 0.500 0.500
Rb2 0.500 0.000 0.500
Rb3 0.500 0.500 0.000
Dy1 0.000 0.000 0.500
Dy2 0.000 0.500 0.000
Dy3 0.500 0.000 0.000
Zr1 0.500 0.500 0.500
Te1 0.233 0.233 0.233
Te2 0.244 0.725 0.725
Te3 0.275 0.275 0.756
Te4 0.275 0.756 0.275
Te5 0.725 0.244 0.725
Te6 0.725 0.725 0.244
Te7 0.756 0.275 0.275
Te8 0.767 0.767 0.767

6.
Ca2ZnGa3Ir4: theoretical PXRD pattern (λ = 1.5418 Å (Cu Kα)), based on DFT lattice parameters and positions (PBE).
Kinematic intensities with the Lorentz-polarization factor, no thermal factor.

Peak list (8 most intense, 10° ≤ 2θ ≤ 90°, low angle first)
2θ/deg  intensity
17.03  49
22.73  61
31.17  44
33.42  41
34.64  100
42.84  83
46.27  95
80.93  38

Crystal structure
abc: 4.221 4.221 10.416
angles: 90.00 90.00 90.00
Sites, in units of the cell vectors:
Ca1 0.000 0.500 0.244
Ca2 0.500 0.000 0.756
Zn1 0.000 0.000 0.500
Ga1 0.000 0.500 0.870
Ga2 0.500 0.000 0.130
Ga3 0.500 0.500 0.500
Ir1 0.000 0.000 0.000
Ir2 0.000 0.500 0.633
Ir3 0.500 0.000 0.367
Ir4 0.500 0.500 0.000

7.
Pu2TaO11: theoretical PXRD pattern (λ = 1.5418 Å (Cu Kα)), based on DFT lattice parameters and positions (PBE).
Kinematic intensities with the Lorentz-polarization factor, no thermal factor.

Peak list (8 most intense, 10° ≤ 2θ ≤ 90°, low angle first)
2θ/deg  intensity
13.17  27
17.47  68
22.36  100
23.18  26
23.98  70
24.80  70
27.05  52
35.36  41

Crystal structure
abc: 7.789 8.050 9.063
angles: 105.93 104.83 112.80
Sites, in units of the cell vectors:
Pu1 0.000 0.000 0.000
Pu2 0.223 0.692 0.502
Pu3 0.467 0.435 0.995
Pu4 0.751 0.253 0.497
Ta1 0.224 0.191 0.495
Ta2 0.476 0.942 0.002
O1 0.101 0.096 0.241
O2 0.132 0.594 0.278
O3 0.178 0.944 0.490
O4 0.184 0.272 0.008
O5 0.212 0.909 0.005
O6 0.274 0.471 0.510
O7 0.335 0.814 0.741
O8 0.347 0.326 0.757
O9 0.435 0.700 0.010
O10 0.499 0.285 0.502
O11 0.508 0.205 0.985
O12 0.547 0.965 0.531
O13 0.559 0.803 0.498
O14 0.593 0.553 0.219
O15 0.611 0.102 0.257
O16 0.742 0.025 0.992
O17 0.767 0.684 0.978
O18 0.808 0.548 0.002
O19 0.870 0.374 0.722
O20 0.895 0.891 0.774
O21 0.925 0.512 0.483
O22 0.960 0.159 0.497

8.
Gd2InO: theoretical PXRD pattern (λ = 1.5418 Å (Cu Kα)), based on DFT lattice parameters and positions (PBE).
Kinematic intensities with the Lorentz-polarization factor, no thermal factor.

Peak list (8 most intense, 10° ≤ 2θ ≤ 90°, low angle first)
2θ/deg  intensity
28.87  21
29.63  22
32.53  100
34.54  95
50.67  39
59.31  20
61.52  15
62.77  46

Crystal structure
abc: 8.067 8.067 8.067
angles: 25.81 25.81 25.81
Sites, in units of the cell vectors:
Gd1 0.224 0.224 0.224
Gd2 0.776 0.776 0.776
In1 0.000 0.000 0.000
O1 0.500 0.500 0.500